Structure and calculated powder X-ray diffraction pattern of Dy2TlPt (a structure optimized by DFT (PBE); Cu Kα, 1.54184 Å).
Peak positions follow from Bragg's law for the DFT cell and can differ from measured ones.

Structure:
```
8
Lattice="7.168 0.000 0.000 0.000 3.576 0.000 0.000 0.000 7.611" Properties=species:S:1:pos:R:3 pbc="T T T"
Dy 0.033 0.000 1.665
Dy 3.551 0.000 1.665
Dy 3.617 0.000 5.946
Dy 7.135 0.000 5.946
Tl 1.792 1.788 3.864
Tl 5.376 1.788 3.747
Pt 1.792 1.788 7.424
Pt 5.376 1.788 0.187
```

Most intense lines, 10 to 80 degrees two-theta, by angle:
| d/Å | I_rel |
| --- | --- |
| 2.608 | 100 |
| 2.532 | 53 |
| 1.903 | 7 |
| 1.792 | 12 |
| 1.788 | 9 |
| 1.521 | 15 |
| 1.476 | 35 |
| 1.401 | 3 |
| 1.304 | 10 |
| 1.266 | 6 |

---

Structure and calculated powder X-ray diffraction pattern of La2SmAgC (a structure optimized by DFT (PBE); Cu Kα, 1.54184 Å).
Peak positions follow from Bragg's law for the DFT cell and can differ from measured ones.

Structure:
```
5
Lattice="5.153 0.000 0.000 0.000 5.153 0.000 0.000 0.000 5.139" Properties=species:S:1:pos:R:3 pbc="T T T"
La 0.000 2.576 0.000
La 2.576 0.000 0.000
Sm 0.000 0.000 2.559
Ag 2.576 2.576 2.639
C 0.000 0.000 0.209
```

Most intense lines, 10 to 80 degrees two-theta, by angle:
| d/Å | I_rel |
| --- | --- |
| 5.151 | 2 |
| 2.972 | 100 |
| 2.574 | 55 |
| 2.302 | 1 |
| 1.820 | 38 |
| 1.553 | 29 |
| 1.550 | 14 |
| 1.486 | 13 |
| 1.288 | 4 |
| 1.285 | 2 |

---

Structure and calculated powder X-ray diffraction pattern of AgHg3S3 (a structure optimized by DFT (PBE); Cu Kα, 1.54184 Å).
Peak positions follow from Bragg's law for the DFT cell and can differ from measured ones.

Structure:
```
14
Lattice="4.557 -7.916 0.000 4.557 7.916 0.000 0.000 0.000 5.467" Properties=species:S:1:pos:R:3 pbc="T T T"
Ag 4.557 5.267 4.100
Ag 4.557 -5.267 1.367
Hg 2.339 1.278 4.100
Hg 2.339 -1.278 1.367
Hg 4.557 2.547 1.367
Hg 4.557 -2.547 4.100
Hg 6.774 1.278 4.100
Hg 6.774 -1.278 1.367
S 2.134 1.400 1.367
S 2.134 -1.400 4.100
S 4.557 2.798 4.100
S 4.557 -2.798 1.367
S 6.980 1.400 1.367
S 6.980 -1.400 4.100
```

Most intense lines, 10 to 80 degrees two-theta, by angle:
| d/Å | I_rel |
| --- | --- |
| 7.904 | 8 |
| 3.952 | 50 |
| 3.203 | 100 |
| 2.734 | 26 |
| 2.282 | 46 |
| 2.248 | 22 |
| 1.857 | 15 |
| 1.752 | 41 |
| 1.655 | 16 |
| 1.442 | 13 |

---

Structure and calculated powder X-ray diffraction pattern of BiPd3Se (a structure optimized by DFT (PBE); Cu Kα, 1.54184 Å).
Peak positions follow from Bragg's law for the DFT cell and can differ from measured ones.

Structure:
```
10
Lattice="-2.924 3.958 4.201 2.924 -3.958 4.201 2.924 3.958 -4.201" Properties=species:S:1:pos:R:3 pbc="T T T"
Bi 0.000 1.979 0.192
Bi 2.924 1.979 4.009
Pd 2.924 1.979 -1.630
Pd 1.462 4.432 -2.100
Pd 1.462 0.473 2.100
Pd -1.462 3.485 2.100
Pd 1.462 3.485 2.100
Pd 0.000 1.979 5.831
Se 2.924 0.000 0.000
Se 0.000 0.000 4.201
```

Most intense lines, 10 to 80 degrees two-theta, by angle:
| d/Å | I_rel |
| --- | --- |
| 3.133 | 29 |
| 3.054 | 100 |
| 2.881 | 27 |
| 2.607 | 25 |
| 2.518 | 35 |
| 2.400 | 73 |
| 2.352 | 63 |
| 2.129 | 79 |
| 2.100 | 34 |
| 1.483 | 25 |

---

Question: What is the formula in the second record?
Answer: La2SmAgC